Record 1
The following is a theoretical X-ray diffraction stick pattern of MgTl2Pb16Br18O8. It was derived from a PBE-relaxed structure, using Cu Kα, 1.54184 Å.
Lines closer than 0.1° are merged.

Cell and atoms:
a b c (Å): 8.4900 12.6871 12.8744
angles (deg): 90.90 91.48 90.17
Sites, in units of the cell vectors:
1 Mg 0.0000 0.0000 0.0000
2 Tl 0.6596 0.5389 0.3872
3 Tl 0.9641 0.0501 0.7834
4 Pb 0.1393 0.4540 0.6636
5 Pb 0.1408 0.6150 0.1292
6 Pb 0.1423 0.2619 0.3104
7 Pb 0.1470 0.8035 0.4795
8 Pb 0.4878 0.7543 0.8065
9 Pb 0.5007 0.1304 0.6060
10 Pb 0.5068 0.3035 0.9765
11 Pb 0.5104 0.9428 0.1738
12 Pb 0.6715 0.4774 0.7576
13 Pb 0.6793 0.5916 0.0256
14 Pb 0.6877 0.1707 0.3370
15 Pb 0.6890 0.9088 0.4585
16 Pb 0.9652 0.6689 0.8402
17 Pb 0.9675 0.3996 0.9457
18 Pb 0.9760 0.9754 0.2727
19 Pb 0.9924 0.0995 0.5468
20 Br 0.1966 0.8315 0.0217
21 Br 0.2065 0.1305 0.0994
22 Br 0.2139 0.2546 0.7687
23 Br 0.2354 0.9119 0.6750
24 Br 0.3160 0.5359 0.8951
25 Br 0.3359 0.0302 0.3846
26 Br 0.4361 0.3310 0.5048
27 Br 0.4357 0.4237 0.1738
28 Br 0.4390 0.6408 0.6089
29 Br 0.4456 0.7432 0.2804
30 Br 0.6901 0.9025 0.7107
31 Br 0.6929 0.2259 0.7769
32 Br 0.7264 0.1521 0.0734
33 Br 0.7528 0.8601 0.0239
34 Br 0.9259 0.3532 0.5060
35 Br 0.9275 0.7106 0.2792
36 Br 0.9326 0.6567 0.5792
37 Br 0.9422 0.4199 0.2048
38 O 0.6944 0.6420 0.8477
39 O 0.6949 0.4280 0.9398
40 O 0.7044 0.9864 0.2928
41 O 0.7122 0.0909 0.5030
42 O 0.9446 0.4877 0.7848
43 O 0.9493 0.1460 0.3261
44 O 0.9513 0.5805 0.0003
45 O 0.9595 0.9315 0.4511

Largest 10 diffraction maxima, by angle, 2θ = 10–80°:
2theta	d (Å)	intensity
25.84	3.448	85.1
26.04	3.422	83.5
26.27	3.392	81.3
26.47	3.367	93.4
27.10	3.290	69.8
29.23	3.056	66.1
29.89	2.989	89.9
30.01	2.978	86.7
31.25	2.863	97.5
31.38	2.850	100.0

=====

Record 2
The following is a theoretical X-ray diffraction stick pattern of LuReTc2. It was derived from a PBE-relaxed structure, using Cu Kα, 1.54184 Å.
Lines closer than 0.1° are merged.

Cell and atoms:
a b c (Å): 4.5222 4.5222 4.5222
angles (deg): 60.00 60.00 60.00
Sites, in units of the cell vectors:
1 Lu 0.0000 0.0000 0.0000
2 Re 0.5000 0.5000 0.5000
3 Tc 0.2500 0.2500 0.2500
4 Tc 0.7500 0.7500 0.7500

Largest 6 diffraction maxima, by angle, 2θ = 10–80°:
2theta	d (Å)	intensity
27.90	3.198	9.7
39.87	2.261	100.0
49.36	1.846	2.9
57.66	1.599	17.0
65.24	1.430	4.0
72.39	1.305	34.3

=====

Record 3
The following is a theoretical X-ray diffraction stick pattern of TmCuSn. It was derived from a PBE-relaxed structure, using Cu Kα, 1.54184 Å.
Lines closer than 0.1° are merged.

Cell and atoms:
a b c (Å): 4.4972 4.4972 7.2300
angles (deg): 90.00 90.00 120.00
Sites, in units of the cell vectors:
1 Tm 0.0000 0.0000 0.0000
2 Tm 0.0000 0.0000 0.5000
3 Cu 0.3333 0.6667 0.2500
4 Cu 0.6667 0.3333 0.7500
5 Sn 0.3333 0.6667 0.7500
6 Sn 0.6667 0.3333 0.2500

Largest 10 diffraction maxima, by angle, 2θ = 10–80°:
2theta	d (Å)	intensity
22.83	3.895	10.2
25.99	3.429	5.6
33.83	2.650	100.0
40.10	2.249	58.4
50.49	1.808	10.0
53.44	1.714	27.4
56.10	1.640	1.8
66.35	1.409	26.4
68.87	1.363	25.6
72.86	1.298	10.1

=====

Record 4
The following is a theoretical X-ray diffraction stick pattern of MoBr2. It was derived from a PBE-relaxed structure, using Cu Kα, 1.54184 Å.
Lines closer than 0.1° are merged.

Cell and atoms:
a b c (Å): 10.0323 10.0323 12.1001
angles (deg): 90.00 90.00 74.14
Sites, in units of the cell vectors:
1 Mo 0.0693 0.9307 0.8615
2 Mo 0.1175 0.1175 0.0000
3 Mo 0.1386 0.8614 0.0692
4 Mo 0.3614 0.6386 0.5692
5 Mo 0.3825 0.3825 0.5000
6 Mo 0.4307 0.5693 0.3615
7 Mo 0.5693 0.4307 0.6385
8 Mo 0.6175 0.6175 0.5000
9 Mo 0.6386 0.3614 0.4308
10 Mo 0.8614 0.1386 0.9308
11 Mo 0.8825 0.8825 0.0000
12 Mo 0.9307 0.0693 0.1385
13 Br 0.0463 0.1847 0.7939
14 Br 0.0906 0.6782 0.9308
15 Br 0.1552 0.8448 0.6552
16 Br 0.1782 0.5906 0.4308
17 Br 0.1847 0.0463 0.2061
18 Br 0.2215 0.2215 0.5000
19 Br 0.2785 0.2785 0.0000
20 Br 0.3153 0.4537 0.7061
21 Br 0.3218 0.9094 0.9308
22 Br 0.3448 0.6552 0.1552
23 Br 0.4094 0.8218 0.4308
24 Br 0.4537 0.3153 0.2939
25 Br 0.5463 0.6847 0.7061
26 Br 0.5906 0.1782 0.5692
27 Br 0.6552 0.3448 0.8448
28 Br 0.6782 0.0906 0.0692
29 Br 0.6847 0.5463 0.2939
30 Br 0.7215 0.7215 0.0000
31 Br 0.7785 0.7785 0.5000
32 Br 0.8153 0.9537 0.7939
33 Br 0.8218 0.4094 0.5692
34 Br 0.8448 0.1552 0.3448
35 Br 0.9094 0.3218 0.0692
36 Br 0.9537 0.8153 0.2061

Largest 10 diffraction maxima, by angle, 2θ = 10–80°:
2theta	d (Å)	intensity
11.05	8.005	41.2
11.73	7.545	100.0
14.64	6.049	18.8
31.63	2.829	11.6
33.12	2.705	9.0
34.89	2.571	11.3
38.03	2.366	8.3
41.71	2.166	10.5
45.32	2.001	13.7
47.71	1.906	14.4

=====

Record 5
The following is a theoretical X-ray diffraction stick pattern of K3AsF6. It was derived from a PBE-relaxed structure, using Cu Kα, 1.54184 Å.
Lines closer than 0.1° are merged.

Cell and atoms:
a b c (Å): 6.4826 6.4826 6.4826
angles (deg): 60.00 60.00 60.00
Sites, in units of the cell vectors:
1 K 0.0000 0.0000 0.0000
2 K 0.2500 0.2500 0.2500
3 K 0.7500 0.7500 0.7500
4 As 0.5000 0.5000 0.5000
5 F 0.2747 0.2747 0.7253
6 F 0.2747 0.7253 0.2747
7 F 0.2747 0.7253 0.7253
8 F 0.7253 0.2747 0.2747
9 F 0.7253 0.2747 0.7253
10 F 0.7253 0.7253 0.2747

Largest 10 diffraction maxima, by angle, 2θ = 10–80°:
2theta	d (Å)	intensity
16.75	5.293	24.2
19.36	4.584	27.4
27.52	3.241	100.0
39.31	2.292	65.3
44.18	2.050	10.0
48.66	1.871	35.2
56.81	1.621	36.5
64.26	1.450	18.6
71.27	1.323	10.7
77.99	1.225	19.5

=====

Record 6
The following is a theoretical X-ray diffraction stick pattern of NaEuHfTiO6. It was derived from a PBE-relaxed structure, using Cu Kα, 1.54184 Å.
Lines closer than 0.1° are merged.

Cell and atoms:
a b c (Å): 5.6522 5.6522 5.6522
angles (deg): 60.00 60.00 60.00
Sites, in units of the cell vectors:
1 Na 0.0000 0.0000 0.0000
2 Eu 0.5000 0.5000 0.5000
3 Hf 0.2500 0.2500 0.2500
4 Ti 0.7500 0.7500 0.7500
5 O 0.5063 0.5063 0.9937
6 O 0.5063 0.9937 0.5063
7 O 0.5063 0.9937 0.9937
8 O 0.9937 0.5063 0.5063
9 O 0.9937 0.5063 0.9937
10 O 0.9937 0.9937 0.5063

Largest 10 diffraction maxima, by angle, 2θ = 10–80°:
2theta	d (Å)	intensity
19.23	4.615	51.7
31.66	2.826	100.0
37.31	2.410	31.9
45.38	1.998	33.0
49.72	1.834	14.9
56.39	1.632	39.4
60.15	1.538	10.7
66.13	1.413	19.7
69.58	1.351	10.6
75.17	1.264	17.1

=====

Record 7
The following is a theoretical X-ray diffraction stick pattern of FeCoSi2. It was derived from a PBE-relaxed structure, using Cu Kα, 1.54184 Å.
Lines closer than 0.1° are merged.

Cell and atoms:
a b c (Å): 4.4444 4.4382 4.4518
angles (deg): 90.00 90.14 90.00
Sites, in units of the cell vectors:
1 Fe 0.1417 0.0000 0.3863
2 Fe 0.8583 0.5000 0.6137
3 Co 0.3627 0.2795 0.8939
4 Co 0.6373 0.7795 0.1061
5 Si 0.1563 0.7998 0.9053
6 Si 0.3416 0.4843 0.4121
7 Si 0.6584 0.9843 0.5879
8 Si 0.8437 0.2998 0.0947

Largest 10 diffraction maxima, by angle, 2θ = 10–80°:
2theta	d (Å)	intensity
28.40	3.143	31.9
34.97	2.566	23.8
40.56	2.224	7.4
45.58	1.990	54.5
45.67	1.986	100.0
50.24	1.816	37.6
50.32	1.813	37.8
70.14	1.342	5.6
70.24	1.340	5.5
77.49	1.232	5.5